Ac2La3Y4: simulated powder diffractogram (Cu Kα, 1.54184 Å), based on a cell relaxed with PBE.
No peak broadening, texture or thermal motion is included.

Cell and atoms:
Lattice parameters (Å, degrees): 3.735 3.735 27.573 90.00 90.00 120.00
Fractional coordinates of all 9 atoms:
Ac (0.000, 0.000, 0.000)
Ac (0.000, 0.000, 0.233)
La (0.000, 0.000, 0.783)
La (0.333, 0.667, 0.120)
La (0.333, 0.667, 0.466)
Y (0.000, 0.000, 0.361)
Y (0.000, 0.000, 0.575)
Y (0.333, 0.667, 0.675)
Y (0.333, 0.667, 0.890)

Main lines, by angle (5 to 70 degrees two-theta):
2θ = 27.58°, rel. 54; 2θ = 29.15°, rel. 42; 2θ = 30.53°, rel. 63; 2θ = 32.08°, rel. 100; 2θ = 48.76°, rel. 38; 2θ = 57.83°, rel. 40

=====

HfSc3Zn8: simulated powder diffractogram (Cu Kα, 1.54184 Å), based on a cell relaxed with PBE.
No peak broadening, texture or thermal motion is included.

Cell and atoms:
Lattice parameters (Å, degrees): 5.265 5.265 8.426 90.00 90.00 120.00
Fractional coordinates of all 12 atoms:
Hf (0.000, 0.000, 0.000)
Sc (0.000, 0.000, 0.373)
Sc (0.667, 0.333, 0.500)
Sc (0.667, 0.333, 0.877)
Zn (0.162, 0.324, 0.689)
Zn (0.162, 0.838, 0.689)
Zn (0.333, 0.667, 0.439)
Zn (0.333, 0.667, 0.938)
Zn (0.504, 0.008, 0.186)
Zn (0.504, 0.496, 0.186)
Zn (0.676, 0.838, 0.689)
Zn (0.992, 0.496, 0.186)

Main lines, by angle (5 to 70 degrees two-theta):
2θ = 22.17°, rel. 28; 2θ = 34.06°, rel. 30; 2θ = 37.61°, rel. 70; 2θ = 40.40°, rel. 100; 2θ = 41.01°, rel. 87; 2θ = 69.34°, rel. 28

=====

Ho7Ir4Pd: simulated powder diffractogram (Cu Kα, 1.54184 Å), based on a cell relaxed with PBE.
No peak broadening, texture or thermal motion is included.

Cell and atoms:
Lattice parameters (Å, degrees): 7.430 7.430 9.950 124.38 124.38 40.09
Fractional coordinates of all 12 atoms:
Ho (0.000, 0.000, 0.000)
Ho (0.163, 0.163, 0.608)
Ho (0.288, 0.288, 0.131)
Ho (0.422, 0.422, 0.665)
Ho (0.578, 0.578, 0.335)
Ho (0.712, 0.712, 0.869)
Ho (0.837, 0.837, 0.392)
Ir (0.070, 0.070, 0.783)
Ir (0.210, 0.210, 0.346)
Ir (0.790, 0.790, 0.654)
Ir (0.930, 0.930, 0.217)
Pd (0.500, 0.500, 0.000)

Main lines, by angle (5 to 70 degrees two-theta):
2θ = 35.24°, rel. 77; 2θ = 36.76°, rel. 100; 2θ = 37.82°, rel. 47; 2θ = 38.01°, rel. 90; 2θ = 52.65°, rel. 37; 2θ = 67.17°, rel. 33